This entry pairs a crystal structure of Ba2LaCu3O6 with its computed X-ray powder pattern. Radiation: copper Kα. Structure: a structure optimized by DFT (PBE).

Principal peaks in the range 10° ≤ 2θ ≤ 90°, most intense first:
2θ (°), I/Imax, hkl
31.8, 100, 1 0 3
32.0, 55, 1 1 0
56.9, 37, 2 1 3
45.9, 30, 2 0 0
56.4, 15, 1 1 6
66.4, 12, 2 0 6
39.3, 12, 1 1 3
37.5, 12, 1 0 4
22.5, 10, 1 0 0
66.9, 9, 2 2 0

Cell lengths 3.954, 3.954, 12.052 Å; angles 90.00, 90.00, 90.00 degrees
Space group P4/mmm (No. 123)
Inequivalent atoms, fractional coordinates:
Ba 0.000 0.000 0.191 (multiplicity 2)
La 0.000 0.000 0.500 (multiplicity 1)
Cu 0.500 0.500 0.000 (multiplicity 1)
Cu 0.500 0.500 0.351 (multiplicity 2)
O 0.000 0.500 0.368 (multiplicity 4)
O 0.500 0.500 0.150 (multiplicity 2)